This entry pairs a crystal structure of Li3V2P5O18 with its simulated powder diffractogram. Radiation: Cu Kα X-rays. Structure: a cell relaxed with GGA+U.
Peak positions follow from Bragg's law for the DFT cell and can differ from measured ones.

Largest 10 diffraction maxima, in order of rising 2θ, 2θ = 5–70°:
(0 1 -1), 2θ = 12.1°, rel. 84; (1 -1 1), 2θ = 18.4°, rel. 58; (-1 1 1), 2θ = 18.6°, rel. 68; (0 2 -1), 2θ = 20.1°, rel. 100; (1 1 2), 2θ = 25.3°, rel. 56; (0 2 2), 2θ = 26.9°, rel. 95; (2 0 0), 2θ = 27.8°, rel. 53; (0 1 3), 2θ = 28.1°, rel. 56; (2 -1 0), 2θ = 29.1°, rel. 60; (1 1 -3), 2θ = 29.3°, rel. 55

```
data_Li3V2P5O18
_cell_length_a 6.4395
_cell_length_b 9.3316
_cell_length_c 10.5770
_cell_angle_alpha 95.76
_cell_angle_beta 93.06
_cell_angle_gamma 91.90
_symmetry_space_group_name_H-M 'P -1'
_symmetry_Int_Tables_number 2
loop_
_symmetry_equiv_pos_as_xyz
'x,y,z'
'-x,-y,-z'
loop_
_atom_site_label
_atom_site_fract_x
_atom_site_fract_y
_atom_site_fract_z
Li1 0.0058 0.4391 0.1315
Li2 0.1261 0.7086 0.6671
Li3 0.4469 0.2311 0.4013
V1 0.2274 0.8456 0.4094
V2 0.3305 0.2719 0.9523
P1 0.1698 0.0835 0.1742
P2 0.1703 0.7725 0.1031
P3 0.2200 0.5091 0.3976
P4 0.2781 0.0853 0.6485
P5 0.4849 0.5445 0.7976
O1 0.0056 0.8176 0.8096
O2 0.0164 0.3236 0.9552
O3 0.0269 0.4822 0.3105
O4 0.0631 0.1404 0.5979
O5 0.0901 0.9304 0.0964
O6 0.2146 0.7514 0.2425
O7 0.2181 0.6634 0.4802
O8 0.2625 0.9219 0.5990
O9 0.2754 0.3876 0.4736
O10 0.2812 0.0470 0.2989
O11 0.3069 0.1248 0.7925
O12 0.3134 0.1355 0.0690
O13 0.3316 0.4186 0.1004
O14 0.3346 0.4330 0.8502
O15 0.3644 0.7403 0.0305
O16 0.3903 0.6746 0.7504
O17 0.4186 0.5468 0.3161
O18 0.4651 0.1498 0.5809
```